Simulated X-ray diffraction stick pattern
Compound: NaU2F9
Radiation: copper Kα
Structure: a cell relaxed with PBE
Neutral-atom scattering factors, no anomalous dispersion.

Cell and atoms:
Lattice parameters (Å, degrees): 8.469 10.651 6.860 90.00 90.00 90.00
Fractional positions:
Na 0.030 0.250 0.151
Na 0.470 0.750 0.651
Na 0.530 0.250 0.349
Na 0.970 0.750 0.849
U 0.173 0.044 0.662
U 0.173 0.456 0.662
U 0.327 0.544 0.162
U 0.327 0.956 0.162
U 0.673 0.044 0.838
U 0.673 0.456 0.838
U 0.827 0.544 0.338
U 0.827 0.956 0.338
F 0.006 0.112 0.415
F 0.006 0.388 0.415
F 0.070 0.590 0.213
F 0.070 0.910 0.213
F 0.171 0.250 0.675
F 0.193 0.109 0.994
F 0.193 0.391 0.994
F 0.197 0.619 0.872
F 0.197 0.881 0.872
F 0.303 0.119 0.372
F 0.303 0.381 0.372
F 0.307 0.609 0.494
F 0.307 0.891 0.494
F 0.329 0.750 0.175
F 0.430 0.090 0.713
F 0.430 0.410 0.713
F 0.494 0.612 0.915
F 0.494 0.888 0.915
F 0.506 0.112 0.085
F 0.506 0.388 0.085
F 0.570 0.590 0.287
F 0.570 0.910 0.287
F 0.671 0.250 0.825
F 0.693 0.109 0.506
F 0.693 0.391 0.506
F 0.697 0.619 0.628
F 0.697 0.881 0.628
F 0.803 0.119 0.128
F 0.803 0.381 0.128
F 0.807 0.609 0.006
F 0.807 0.891 0.006
F 0.829 0.750 0.325
F 0.930 0.090 0.787
F 0.930 0.410 0.787
F 0.994 0.612 0.585
F 0.994 0.888 0.585

Main lines, sorted by position (10° ≤ 2θ ≤ 90°):
| Position (°2θ) | d_spacing | I (rel.) |
| --- | --- | --- |
| 16.6 | 5.326 | 100 |
| 21.0 | 4.234 | 21 |
| 24.7 | 3.603 | 48 |
| 26.9 | 3.314 | 19 |
| 28.1 | 3.179 | 42 |
| 28.3 | 3.153 | 28 |
| 29.9 | 2.984 | 39 |
| 32.8 | 2.730 | 39 |
| 44.8 | 2.023 | 21 |
| 49.0 | 1.858 | 20 |

Simulated X-ray diffraction stick pattern
Compound: Na5Zr2F13
Radiation: copper Kα
Structure: a cell relaxed with PBE
Neutral-atom scattering factors, no anomalous dispersion.

Cell and atoms:
Lattice parameters (Å, degrees): 6.276 6.276 8.288 96.40 96.40 50.84
Fractional positions:
Na 0.000 0.000 0.000
Na 0.163 0.163 0.430
Na 0.278 0.278 0.843
Na 0.722 0.722 0.157
Na 0.837 0.837 0.570
Zr 0.426 0.426 0.253
Zr 0.574 0.574 0.747
F 0.071 0.559 0.357
F 0.132 0.596 0.063
F 0.190 0.680 0.754
F 0.320 0.810 0.246
F 0.404 0.868 0.937
F 0.441 0.929 0.643
F 0.500 0.500 0.500
F 0.559 0.071 0.357
F 0.596 0.132 0.063
F 0.680 0.190 0.754
F 0.810 0.320 0.246
F 0.868 0.404 0.937
F 0.929 0.441 0.643

Main lines, sorted by position (10° ≤ 2θ ≤ 90°):
| Position (°2θ) | d_spacing | I (rel.) |
| --- | --- | --- |
| 18.0 | 4.935 | 21 |
| 18.3 | 4.859 | 78 |
| 20.2 | 4.397 | 32 |
| 21.6 | 4.113 | 32 |
| 29.2 | 3.060 | 71 |
| 30.0 | 2.983 | 100 |
| 47.1 | 1.931 | 22 |
| 48.7 | 1.868 | 46 |
| 49.0 | 1.858 | 79 |
| 51.0 | 1.792 | 21 |

Simulated X-ray diffraction stick pattern
Compound: NbF5
Radiation: copper Kα
Structure: a cell relaxed with PBE
Neutral-atom scattering factors, no anomalous dispersion.

Cell and atoms:
Lattice parameters (Å, degrees): 5.436 5.436 6.064 90.00 90.00 120.00
Fractional positions:
Nb 0.333 0.667 0.250
Nb 0.667 0.333 0.750
F 0.139 0.278 0.250
F 0.139 0.861 0.250
F 0.278 0.139 0.750
F 0.333 0.667 0.564
F 0.333 0.667 0.936
F 0.667 0.333 0.064
F 0.667 0.333 0.436
F 0.722 0.861 0.250
F 0.861 0.139 0.750
F 0.861 0.722 0.750

Main lines, sorted by position (10° ≤ 2θ ≤ 90°):
| Position (°2θ) | d_spacing | I (rel.) |
| --- | --- | --- |
| 18.9 | 4.707 | 29 |
| 23.9 | 3.718 | 100 |
| 29.5 | 3.032 | 25 |
| 33.0 | 2.718 | 49 |
| 38.2 | 2.354 | 19 |
| 49.0 | 1.858 | 39 |
| 51.4 | 1.779 | 11 |
| 53.7 | 1.707 | 29 |
| 60.3 | 1.534 | 11 |
| 70.5 | 1.336 | 23 |